Entry 1:
Computed powder diffractogram
Compound: LiMgMnPb
Radiation: Cu Kα
Structure: a crystal structure in Alexandria, relaxed with PBE

Structural model:
abc: 4.763 4.763 4.763
angles: 60.00 60.00 60.00
Element x y z (fractional)
Li  0.000  0.000  0.000
Mg  0.750  0.750  0.750
Mn  0.500  0.500  0.500
Pb  0.250  0.250  0.250

Largest 9 diffraction maxima, by intensity, 2θ from 5° to 70°:
two_theta, d/Å, I (rel.)
37.77, 2.382, 100
22.87, 3.889, 95
44.61, 2.031, 52
26.46, 3.368, 41
68.20, 1.375, 35
59.85, 1.545, 22
61.57, 1.506, 17
54.49, 1.684, 17
46.71, 1.945, 13

Entry 2:
Computed powder diffractogram
Compound: LiMg14Mo
Radiation: Cu Kα
Structure: a crystal structure in Alexandria, relaxed with PBE

Structural model:
abc: 6.284 6.284 10.046
angles: 90.00 90.00 120.00
Element x y z (fractional)
Li  0.000  0.000  0.000
Mg  0.000  0.500  0.500
Mg  0.003  0.502  0.000
Mg  0.160  0.321  0.258
Mg  0.160  0.321  0.742
Mg  0.160  0.840  0.258
Mg  0.160  0.840  0.742
Mg  0.498  0.502  0.000
Mg  0.498  0.997  0.000
Mg  0.500  0.000  0.500
Mg  0.500  0.500  0.500
Mg  0.667  0.333  0.248
Mg  0.667  0.333  0.752
Mg  0.679  0.840  0.258
Mg  0.679  0.840  0.742
Mo  0.000  0.000  0.500

Largest 10 diffraction maxima, by intensity, 2θ from 5° to 70°:
two_theta, d/Å, I (rel.)
37.60, 2.392, 100
18.54, 4.785, 34
8.80, 10.046, 33
35.75, 2.512, 25
32.92, 2.721, 25
65.45, 1.426, 18
58.78, 1.571, 17
49.38, 1.846, 15
29.80, 2.999, 9
16.29, 5.442, 9